Entry 1:
Theoretical powder diffraction line list of ErLu4ZnIr2 for λ = 1.5418 Å (Cu Kα), from a crystal structure in OQMD, relaxed with PBE.

```
data_ErLu4ZnIr2
_space_group_name_H-M_alt 'P 4/m m m'
_space_group_IT_number 123
_space_group_name_Hall '-P 4 2'
_cell_length_a 4.848
_cell_length_b 4.848
_cell_length_c 7.271
_cell_angle_alpha 90.00
_cell_angle_beta 90.00
_cell_angle_gamma 90.00
loop_
_atom_site_label
_atom_site_fract_x
_atom_site_fract_y
_atom_site_fract_z
Er1 0.000 0.000 0.000
Lu1 0.000 0.500 0.269
Zn1 0.500 0.500 0.500
Ir1 0.000 0.000 0.500
Ir2 0.500 0.500 0.000
```

Principal peaks in the range 10° ≤ 2θ ≤ 80°, by angle:
h k l	2θ (°)	intensity
1 0 1	22.0	4
1 1 1	28.8	3
1 1 2	36.0	100
2 0 0	37.1	49
2 1 1	43.6	1
0 0 4	50.2	9
2 2 0	53.5	19
2 0 4	64.0	17
3 1 2	66.2	34
1 1 5	70.3	2
2 2 4	76.4	11
4 0 0	79.0	5

---

Entry 2:
Theoretical powder diffraction line list of Sc for λ = 1.5418 Å (Cu Kα), from a crystal structure in OQMD, relaxed with PBE.

```
data_Sc
_space_group_name_H-M_alt 'C c c e'
_space_group_IT_number 68
_cell_length_a 8.791
_cell_length_b 9.449
_cell_length_c 5.529
_cell_angle_alpha 90.00
_cell_angle_beta 90.00
_cell_angle_gamma 90.00
loop_
_space_group_symop_operation_xyz
'x,y,z'
'-x,-y,-z'
'-x+1/2,-y,z'
'x+1/2,y,-z'
'x+1/2,-y,-z+1/2'
'-x+1/2,y,z+1/2'
'-x,y,-z+1/2'
'x,-y,z+1/2'
'x+1/2,y+1/2,z'
'-x+1/2,-y+1/2,-z'
'-x,-y+1/2,z'
'x,y+1/2,-z'
'x,-y+1/2,-z+1/2'
'-x,y+1/2,z+1/2'
'-x+1/2,y+1/2,-z+1/2'
'x+1/2,-y+1/2,z+1/2'
loop_
_atom_site_label
_atom_site_fract_x
_atom_site_fract_y
_atom_site_fract_z
Sc1 0.000 0.250 0.250
Sc2 0.148 0.108 0.639
```

Principal peaks in the range 10° ≤ 2θ ≤ 80°, by angle:
h k l	2θ (°)	intensity
2 2 0	27.7	20
2 2 1	32.2	99
1 3 1	34.3	100
1 1 2	35.3	79
3 1 1	36.0	98
0 4 0	38.1	18
2 4 0	43.5	14
3 3 1	45.3	15
4 4 0	57.3	23
2 2 3	57.6	29
1 5 2	60.2	22
6 0 0	63.5	27

---

Entry 3:
Theoretical powder diffraction line list of Zr3NbAl2C2 for λ = 1.5418 Å (Cu Kα), from a crystal structure in OQMD, relaxed with PBE.

```
data_Zr3NbAl2C2
_space_group_name_H-M_alt 'P 3 m 1'
_space_group_IT_number 156
_space_group_name_Hall 'P 3 -2"'
_cell_length_a 3.2687
_cell_length_b 3.2687
_cell_length_c 14.4311
_cell_angle_alpha 90.00
_cell_angle_beta 90.00
_cell_angle_gamma 120.00
loop_
_atom_site_label
_atom_site_fract_x
_atom_site_fract_y
_atom_site_fract_z
Zr1 0.0000 0.0000 0.0000
Zr2 0.0000 0.0000 0.3301
Zr3 0.6667 0.3333 0.5094
Nb1 0.6667 0.3333 0.8270
Al1 0.0000 0.0000 0.6732
Al2 0.6667 0.3333 0.1648
C1 0.3333 0.6667 0.4192
C2 0.3333 0.6667 0.9091
```

Principal peaks in the range 10° ≤ 2θ ≤ 80°, by angle:
h k l	2θ (°)	intensity
0 0 2	12.3	34
0 0 4	24.7	8
1 0 0	31.6	21
0 1 1	32.2	16
0 1 3	36.8	100
0 0 6	37.4	19
1 0 4	40.5	7
1 0 6	49.7	16
1 1 0	56.3	21
0 1 9	67.1	15
2 0 3	69.2	15
1 1 6	69.5	18

---

Entry 4:
Theoretical powder diffraction line list of SbAu15 for λ = 1.5418 Å (Cu Kα), from a crystal structure in OQMD, relaxed with PBE.

```
data_SbAu15
_space_group_name_H-M_alt 'P 1 2/c 1'
_space_group_IT_number 13
_space_group_name_Hall '-P 2yc'
_cell_length_a 5.017
_cell_length_b 35.639
_cell_length_c 5.016
_cell_angle_alpha 90.00
_cell_angle_beta 109.39
_cell_angle_gamma 90.00
loop_
_atom_site_label
_atom_site_fract_x
_atom_site_fract_y
_atom_site_fract_z
Sb1 0.000 0.183 0.250
Au1 0.000 0.224 0.750
Au2 0.000 0.268 0.250
Au3 0.000 0.311 0.750
Au4 0.000 0.353 0.250
Au5 0.000 0.395 0.750
Au6 0.000 0.437 0.250
Au7 0.000 0.479 0.750
Au8 0.500 0.185 0.750
Au9 0.500 0.224 0.250
Au10 0.500 0.270 0.750
Au11 0.500 0.311 0.250
Au12 0.500 0.354 0.750
Au13 0.500 0.395 0.250
Au14 0.500 0.437 0.750
Au15 0.500 0.479 0.250
```

Principal peaks in the range 10° ≤ 2θ ≤ 80°, by angle:
h k l	2θ (°)	intensity
1 11 -1	35.3	26
1 12 -1	37.4	74
2 0 0	38.1	100
1 11 1	41.8	18
1 12 1	43.6	49
2 0 -2	44.3	33
0 24 0	62.5	18
3 12 -1	63.9	32
2 0 2	64.3	11
2 24 0	75.6	24
3 12 1	76.8	19
4 0 -2	77.3	14

---

Entry 5:
Theoretical powder diffraction line list of NaPrCdS3 for λ = 1.5418 Å (Cu Kα), from a crystal structure in OQMD, relaxed with PBE.

```
data_NaPrCdS3
_space_group_name_H-M_alt 'P n m a'
_space_group_IT_number 62
_space_group_name_Hall '-P 2ac 2n'
_cell_length_a 11.989
_cell_length_b 4.166
_cell_length_c 11.781
_cell_angle_alpha 90.00
_cell_angle_beta 90.00
_cell_angle_gamma 90.00
loop_
_atom_site_label
_atom_site_fract_x
_atom_site_fract_y
_atom_site_fract_z
Na1 0.132 0.250 0.010
Pr1 0.036 0.250 0.673
Cd1 0.240 0.250 0.288
S1 0.057 0.750 0.847
S2 0.088 0.250 0.431
S3 0.222 0.750 0.162
```

Principal peaks in the range 10° ≤ 2θ ≤ 80°, by angle:
h k l	2θ (°)	intensity
1 0 1	10.5	45
0 0 2	15.0	93
1 0 3	23.8	51
2 1 1	27.1	100
1 1 2	27.3	46
4 0 1	30.8	33
1 1 3	32.2	61
4 0 2	33.5	39
1 1 4	38.2	37
0 2 0	43.4	34
0 1 5	44.2	36
5 1 3	49.6	33

---

Entry 6:
Theoretical powder diffraction line list of Rb3Re2Cl10O for λ = 1.5418 Å (Cu Kα), from a crystal structure in OQMD, relaxed with PBE.

```
data_Rb3Re2Cl10O
_space_group_name_H-M_alt 'I 4/m m m'
_space_group_IT_number 139
_space_group_name_Hall '-I 4 2'
_cell_length_a 7.318
_cell_length_b 7.318
_cell_length_c 17.589
_cell_angle_alpha 90.00
_cell_angle_beta 90.00
_cell_angle_gamma 90.00
loop_
_atom_site_label
_atom_site_fract_x
_atom_site_fract_y
_atom_site_fract_z
Rb1 0.000 0.000 0.000
Rb2 0.000 0.500 0.250
Re1 0.000 0.000 0.395
Cl1 0.000 0.000 0.259
Cl2 0.229 0.229 0.388
O1 0.000 0.000 0.500
```

Principal peaks in the range 10° ≤ 2θ ≤ 80°, by angle:
h k l	2θ (°)	intensity
1 0 1	13.1	100
1 1 0	17.1	61
1 0 3	19.4	39
1 1 2	19.9	52
2 0 0	24.3	34
1 1 4	26.6	30
1 0 5	28.1	51
2 2 0	34.7	71
2 1 5	37.5	35
4 0 0	49.8	23
3 2 5	52.0	26
2 2 8	54.8	26